Theoretical powder X-ray diffraction pattern
Compound: Mg14MnB
Radiation: copper Kα
Structure: a structure optimized by DFT (GGA-PBE)
Intensities are scaled so that the largest is 1000.

Atomic structure:
```
Mg14MnB
1.0
9.947 0.000 0.000
0.000 3.127 5.378
0.000 -3.127 5.378
Mg Mn B
14 1 1
Cartesian
0.000 0.000 0.000
0.000 -1.549 2.725
0.000 0.000 5.357
0.000 1.549 2.725
2.498 0.000 7.163
2.566 0.000 1.783
2.795 -1.610 4.571
2.795 1.610 4.571
4.974 -1.581 7.858
4.974 1.581 7.858
7.153 -1.610 4.571
7.153 1.610 4.571
7.381 0.000 1.783
7.449 0.000 7.163
4.974 0.000 5.431
4.974 0.000 0.274
```

Most intense lines, 5° ≤ 2θ ≤ 70°, by angle:
Position (°2θ), intensity
8.89, 89
18.69, 111
33.14, 215
33.32, 145
36.12, 333
37.88, 1000
38.04, 423
49.82, 116
59.43, 151
66.12, 134